Record 1
Simulated X-ray diffraction stick pattern of AcSn2Hg2 for copper Kα, from DFT lattice parameters and positions (PBE).

Top 12 peaks for 10 to 80 degrees two-theta, sorted by position:
(hkl)  d [Å]  Rel. int.
0 2 0  3.478  30
1 1 1  3.054  100
2 0 -2  3.012  76
0 2 1  2.925  57
2 2 -1  2.587  96
3 1 -1  2.410  20
3 1 0  2.101  31
1 1 -3  1.951  35
3 3 0  1.597  24
4 2 -3  1.576  29
2 4 -2  1.506  21
4 2 1  1.291  25

Structural model:
Cell lengths 7.783, 6.955, 6.366 Å; angles 90.00, 121.82, 90.00 degrees
Space group C2/m (No. 12)
One atom of each set of equivalent atoms:
1 Ac 0.000 0.000 0.000 [2 per cell]
2 Sn 0.000 0.283 0.500 [4 per cell]
3 Hg 0.176 0.500 0.234 [4 per cell]

Record 2
Simulated X-ray diffraction stick pattern of Gd2TiO5 for copper Kα, from DFT lattice parameters and positions (PBE).

Top 12 peaks for 10 to 80 degrees two-theta, sorted by position:
(hkl)  d [Å]  Rel. int.
1 0 1  7.758  25
2 0 1  4.798  12
1 0 3  3.580  26
2 0 3  3.089  76
2 1 0  3.068  100
0 1 3  2.677  37
4 0 0  2.644  15
1 1 3  2.595  12
0 2 0  1.882  58
1 0 6  1.873  14
1 1 6  1.677  17
2 2 3  1.608  22

Structural model:
Cell lengths 10.574, 3.766, 11.418 Å; angles 90.00, 90.00, 90.00 degrees
Space group Pnma (No. 62)
One atom of each set of equivalent atoms:
1 Gd 0.112 0.250 0.222 [4 per cell]
2 Gd 0.136 0.250 0.556 [4 per cell]
3 Ti 0.177 0.250 0.879 [4 per cell]
4 O 0.007 0.750 0.605 [4 per cell]
5 O 0.012 0.250 0.845 [4 per cell]
6 O 0.224 0.250 0.041 [4 per cell]
7 O 0.236 0.750 0.882 [4 per cell]
8 O 0.239 0.750 0.230 [4 per cell]

Record 3
Simulated X-ray diffraction stick pattern of Pr12DyHo2 for copper Kα, from DFT lattice parameters and positions (PBE).

Top 12 peaks for 10 to 80 degrees two-theta, sorted by position:
(hkl)  d [Å]  Rel. int.
2 0 4  3.144  28
0 2 7  3.068  45
2 2 2  2.995  65
0 4 0  2.932  66
2 2 3  2.895  19
0 2 8  2.773  100
2 2 6  2.486  32
2 4 4  2.144  19
0 6 8  1.660  20
2 4 11  1.616  19
4 4 0  1.542  19
4 2 8  1.518  18

Structural model:
Cell lengths 7.251, 11.727, 25.203 Å; angles 90.00, 90.00, 90.00 degrees
Space group Cmme (No. 67)
One atom of each set of equivalent atoms:
1 Pr 0.000 0.002 0.073 [8 per cell]
2 Pr 0.000 0.024 0.560 [8 per cell]
3 Pr 0.230 0.250 0.414 [8 per cell]
4 Pr 0.248 0.250 0.870 [8 per cell]
5 Pr 0.250 0.000 0.198 [8 per cell]
6 Pr 0.250 0.000 0.324 [8 per cell]
7 Dy 0.000 0.250 0.999 [4 per cell]
8 Ho 0.000 0.250 0.267 [4 per cell]
9 Ho 0.000 0.250 0.729 [4 per cell]

Record 4
Simulated X-ray diffraction stick pattern of In4Hg12Pb for copper Kα, from DFT lattice parameters and positions (PBE).

Top 12 peaks for 10 to 80 degrees two-theta, sorted by position:
(hkl)  d [Å]  Rel. int.
3 1 0  3.212  100
3 2 1  2.715  38
4 0 2  2.271  19
4 2 2  2.073  19
4 1 3  1.992  47
5 0 3  1.742  8
6 0 0  1.693  11
6 2 0  1.606  5
6 3 1  1.498  14
4 4 4  1.466  10
7 0 3  1.334  12
7 3 2  1.290  9

Structural model:
Cell lengths 10.157, 10.157, 10.157 Å; angles 90.00, 90.00, 90.00 degrees
Space group Im-3 (No. 204)
One atom of each set of equivalent atoms:
1 In 0.250 0.250 0.250 [8 per cell]
2 Hg 0.000 0.146 0.350 [24 per cell]
3 Pb 0.000 0.000 0.000 [2 per cell]

Record 5
Simulated X-ray diffraction stick pattern of Ba2Ca3Tl2 for copper Kα, from DFT lattice parameters and positions (PBE).

Top 12 peaks for 10 to 80 degrees two-theta, sorted by position:
(hkl)  d [Å]  Rel. int.
2 0 0  5.760  31
1 1 0  4.913  71
0 0 2  4.271  73
1 1 -2  3.488  41
3 1 -1  3.251  41
3 1 0  3.131  100
1 1 2  3.011  72
3 1 -2  2.953  73
4 0 0  2.873  36
0 2 0  2.718  62
1 1 -3  2.638  39
3 1 2  2.242  37

Structural model:
Cell lengths 12.243, 5.435, 9.099 Å; angles 90.00, 110.18, 90.00 degrees
Space group C2/m (No. 12)
One atom of each set of equivalent atoms:
1 Ba 0.136 0.000 0.291 [4 per cell]
2 Ca 0.000 0.500 0.500 [2 per cell]
3 Ca 0.138 0.500 0.934 [4 per cell]
4 Tl 0.159 0.000 0.713 [4 per cell]

Record 6
Simulated X-ray diffraction stick pattern of LiLaTe2 for copper Kα, from DFT lattice parameters and positions (PBE).

Top 12 peaks for 10 to 80 degrees two-theta, sorted by position:
(hkl)  d [Å]  Rel. int.
0 0 2  7.186  28
1 1 1  3.778  25
0 2 2  3.438  100
0 2 3  3.032  85
1 1 4  2.647  23
0 2 5  2.317  34
2 0 0  2.261  61
0 2 6  2.043  21
2 2 2  1.889  18
2 2 3  1.812  19
1 5 3  1.414  17
2 0 -8  1.407  24

Structural model:
Cell lengths 4.519, 7.835, 14.372 Å; angles 90.00, 90.06, 90.00 degrees
Space group Cc (No. 9)
One atom of each set of equivalent atoms:
1 Li 0.000 0.169 0.000 [4 per cell]
2 La 0.000 0.166 0.737 [4 per cell]
3 Te 0.000 0.499 0.605 [4 per cell]
4 Te 0.001 0.168 0.369 [4 per cell]

Record 7
Simulated X-ray diffraction stick pattern of Pm4NiRh2 for copper Kα, from DFT lattice parameters and positions (PBE).

Top 12 peaks for 10 to 80 degrees two-theta, sorted by position:
(hkl)  d [Å]  Rel. int.
2 2 0  3.408  56
2 2 -2  2.776  100
0 2 2  2.752  99
4 0 0  2.657  72
4 0 -2  2.602  26
2 0 2  2.545  23
4 2 -2  2.245  60
0 4 0  2.221  58
2 2 2  2.208  57
2 0 -4  1.872  34
4 4 0  1.704  38
2 4 -4  1.431  29

Structural model:
Cell lengths 11.347, 8.883, 7.489 Å; angles 90.00, 110.52, 90.00 degrees
Space group Cm (No. 8)
One atom of each set of equivalent atoms:
1 Pm 0.000 0.000 0.000 [2 per cell]
2 Pm 0.001 0.000 0.507 [2 per cell]
3 Pm 0.003 0.500 0.513 [2 per cell]
4 Pm 0.228 0.248 0.870 [4 per cell]
5 Pm 0.237 0.252 0.371 [4 per cell]
6 Pm 0.497 0.000 0.997 [2 per cell]
7 Ni 0.279 0.500 0.148 [2 per cell]
8 Ni 0.280 0.500 0.638 [2 per cell]
9 Rh 0.267 0.000 0.625 [2 per cell]
10 Rh 0.282 0.000 0.153 [2 per cell]
11 Rh 0.454 0.253 0.731 [4 per cell]

Record 8
Simulated X-ray diffraction stick pattern of Ac3Zn3Au8 for copper Kα, from DFT lattice parameters and positions (PBE).

Top 12 peaks for 10 to 80 degrees two-theta, sorted by position:
(hkl)  d [Å]  Rel. int.
2 0 -3  3.040  11
2 0 2  2.830  15
5 1 -2  2.728  100
3 1 -3  2.604  25
1 1 -3  2.446  30
0 2 0  2.384  34
6 0 0  2.373  10
7 1 -3  2.102  12
3 1 -4  2.073  11
2 2 2  1.823  8
3 1 4  1.461  10
5 3 -2  1.434  14

Structural model:
Cell lengths 17.009, 4.768, 9.332 Å; angles 90.00, 123.18, 90.00 degrees
Space group C2/m (No. 12)
One atom of each set of equivalent atoms:
1 Ac 0.000 0.000 0.000 [2 per cell]
2 Ac 0.205 0.500 0.725 [4 per cell]
3 Zn 0.000 0.000 0.500 [2 per cell]
4 Zn 0.170 0.500 0.333 [4 per cell]
5 Au 0.009 0.500 0.331 [4 per cell]
6 Au 0.124 0.000 0.836 [4 per cell]
7 Au 0.138 0.000 0.427 [4 per cell]
8 Au 0.147 0.500 0.033 [4 per cell]

Record 9
Simulated X-ray diffraction stick pattern of PmPt6 for copper Kα, from DFT lattice parameters and positions (PBE).

Top 12 peaks for 10 to 80 degrees two-theta, sorted by position:
(hkl)  d [Å]  Rel. int.
3 1 1  2.585  62
0 0 4  2.562  42
1 0 4  2.470  45
2 1 3  2.443  81
0 2 2  2.365  65
2 2 0  2.309  39
4 0 1  2.258  79
2 2 1  2.253  54
2 2 2  2.105  100
3 1 3  2.104  36
0 1 5  1.914  46
0 4 0  1.332  38

Structural model:
Cell lengths 9.260, 5.328, 10.249 Å; angles 90.00, 90.00, 90.00 degrees
Space group Pnma (No. 62)
One atom of each set of equivalent atoms:
1 Pm 0.238 0.250 0.053 [4 per cell]
2 Pt 0.028 0.250 0.549 [4 per cell]
3 Pt 0.047 0.505 0.777 [8 per cell]
4 Pt 0.085 0.750 0.014 [4 per cell]
5 Pt 0.196 0.250 0.340 [4 per cell]
6 Pt 0.200 0.750 0.265 [4 per cell]

Record 10
Simulated X-ray diffraction stick pattern of ThZrSi2Ir2 for copper Kα, from DFT lattice parameters and positions (PBE).

Top 12 peaks for 10 to 80 degrees two-theta, sorted by position:
(hkl)  d [Å]  Rel. int.
1 0 1  3.283  73
0 1 2  2.566  100
0 0 3  2.375  9
1 1 0  2.136  61
0 2 1  1.790  14
2 0 2  1.642  26
1 0 4  1.605  9
1 1 3  1.588  16
2 1 1  1.372  12
1 1 4  1.368  16
1 2 2  1.302  24
3 0 0  1.233  11

Structural model:
Cell lengths 4.2717, 4.2717, 7.1242 Å; angles 90.00, 90.00, 120.00 degrees
Space group P-3m1 (No. 164)
One atom of each set of equivalent atoms:
1 Th 0.0000 0.0000 0.0000 [1 per cell]
2 Zr 0.0000 0.0000 0.5000 [1 per cell]
3 Si 0.3333 0.6667 0.2935 [2 per cell]
4 Ir 0.3333 0.6667 0.7100 [2 per cell]

Record 11
Simulated X-ray diffraction stick pattern of BaEr2ZnO5 for copper Kα, from DFT lattice parameters and positions (PBE).

Top 12 peaks for 10 to 80 degrees two-theta, sorted by position:
(hkl)  d [Å]  Rel. int.
3 1 1  3.024  100
1 1 2  2.929  82
0 2 0  2.862  54
4 0 1  2.832  23
4 1 0  2.718  16
3 1 2  2.433  18
4 2 1  2.013  32
3 2 2  1.959  16
4 0 3  1.878  14
3 3 1  1.682  18
1 3 2  1.665  16
4 2 3  1.570  17

Structural model:
Cell lengths 12.354, 5.723, 7.095 Å; angles 90.00, 90.00, 90.00 degrees
Space group Pnma (No. 62)
One atom of each set of equivalent atoms:
1 Ba 0.102 0.250 0.078 [4 per cell]
2 Er 0.074 0.750 0.400 [4 per cell]
3 Er 0.208 0.250 0.619 [4 per cell]
4 Zn 0.150 0.750 0.809 [4 per cell]
5 O 0.066 0.000 0.662 [8 per cell]
6 O 0.101 0.750 0.078 [4 per cell]
7 O 0.225 0.501 0.360 [8 per cell]